The following is a calculated X-ray powder pattern of YV2S4. It was derived from a structure optimized by DFT (PBE), using copper Kα.
Lines closer than 0.1° are merged.

Cell: 7.3601 7.6508 10.4232 Å, 90.00 90.00 90.00°
Space group Imma (No. 74)
Symmetry-distinct sites (fractional):
1 Y 0.0000 0.0000 0.0000
2 V 0.0000 0.2500 0.3632
3 V 0.2500 0.2500 0.7500
4 S 0.0000 0.0257 0.7391
5 S 0.2400 0.2500 0.5110

Top 8 peaks for 2θ from 5° to 70°, in order of rising 2θ:
d = 6.012 Å, 14.7°, I 28
d = 3.227 Å, 27.6°, I 84
d = 3.161 Å, 28.2°, I 50
d = 3.142 Å, 28.4°, I 52
d = 2.652 Å, 33.8°, I 77
d = 2.606 Å, 34.4°, I 37
d = 1.913 Å, 47.5°, I 27
d = 1.859 Å, 49.0°, I 100

---

The following is a calculated X-ray powder pattern of YV2S4. It was derived from a structure optimized by DFT (PBE), using copper Kα.
Lines closer than 0.1° are merged.

Cell: 7.3563 7.3563 11.0405 Å, 90.00 90.00 90.00°
Space group I4_1/amd (No. 141, origin choice 2)
Symmetry-distinct sites (fractional):
1 Y 0.0000 0.2500 0.3750
2 V 0.0000 0.0000 0.0000
3 S 0.0000 0.0236 0.7734

Top 8 peaks for 2θ from 5° to 70°, in order of rising 2θ:
d = 3.786 Å, 23.5°, I 58
d = 3.678 Å, 24.2°, I 25
d = 3.291 Å, 27.1°, I 39
d = 3.153 Å, 28.3°, I 100
d = 2.115 Å, 42.8°, I 32
d = 2.006 Å, 45.2°, I 46
d = 1.893 Å, 48.1°, I 71
d = 1.839 Å, 49.6°, I 36